# 1
Theoretical X-ray diffraction stick pattern of Cs4Rb2Au3F2 for CuKα, from DFT lattice parameters and positions (PBE).

Largest 12 diffraction maxima, low angle first, 2θ = 15–90°:
Position (°2θ)  I_rel
15.70  28.5
21.95  16.1
22.71  24.3
25.19  15.1
26.83  19.2
28.89  100.0
31.06  58.6
41.49  12.1
44.49  21.6
44.76  10.9
49.79  14.7
53.92  35.3

Crystal structure
```
Cs4Rb2Au3F2
1.0
-2.880 2.880 14.240
2.880 -2.880 14.240
2.880 2.880 -14.240
Cs Rb Au F
4 2 3 2
direct
0.086 0.586 0.500
0.414 0.914 0.500
0.586 0.086 0.500
0.914 0.414 0.500
0.202 0.202 0.000
0.798 0.798 0.000
0.327 0.327 0.000
0.500 0.500 0.000
0.673 0.673 0.000
0.106 0.106 0.000
0.894 0.894 0.000
```

# 2
Theoretical X-ray diffraction stick pattern of Cs2Rb6AuF for CuKα, from DFT lattice parameters and positions (PBE).

Largest 12 diffraction maxima, low angle first, 2θ = 15–90°:
Position (°2θ)  I_rel
15.21  35.5
19.13  26.9
21.69  36.0
22.62  28.7
22.98  100.0
24.29  23.1
24.66  71.9
26.70  26.8
29.08  27.5
30.68  30.1
31.06  36.8
47.30  23.0

Crystal structure
```
Cs2Rb6AuF
1.0
7.760 -5.761 0.000
7.760 5.761 0.000
-6.915 0.000 7.860
Cs Rb Au F
2 6 1 1
direct
0.205 0.795 0.000
0.795 0.205 0.000
0.197 0.197 0.812
0.305 0.305 0.504
0.310 0.699 0.421
0.694 0.694 0.894
0.699 0.310 0.421
0.806 0.806 0.414
0.999 0.999 0.295
0.502 0.502 0.562
```

# 3
Theoretical X-ray diffraction stick pattern of Cs4RbAu2F for CuKα, from DFT lattice parameters and positions (PBE).

Largest 12 diffraction maxima, low angle first, 2θ = 15–90°:
Position (°2θ)  I_rel
16.68  26.2
23.81  48.8
25.89  45.5
26.21  100.0
27.14  52.5
28.12  35.5
33.74  18.8
36.38  22.6
36.76  26.0
38.01  45.7
46.61  23.7
51.49  19.2

Crystal structure
```
Cs4RbAu2F
1.0
7.931 -2.365 0.000
7.931 2.365 0.000
-6.204 0.000 10.628
Cs Rb Au F
4 1 2 1
direct
0.104 0.104 0.435
0.330 0.330 0.229
0.670 0.670 0.771
0.896 0.896 0.565
0.000 0.000 0.000
0.332 0.332 0.740
0.668 0.668 0.260
0.500 0.500 0.500
```

# 4
Theoretical X-ray diffraction stick pattern of Cs7SbAu2F2 for CuKα, from DFT lattice parameters and positions (PBE).

Largest 12 diffraction maxima, low angle first, 2θ = 15–90°:
Position (°2θ)  I_rel
18.56  18.9
21.01  27.3
23.30  21.6
25.82  59.4
26.91  63.1
28.11  17.5
28.18  100.0
33.52  18.1
37.64  43.8
47.01  28.4
48.32  24.1
54.13  19.1

Crystal structure
```
Cs7SbAu2F2
1.0
-3.313 12.684 3.450
3.313 -12.684 3.450
3.313 12.684 -3.450
Cs Sb Au F
7 1 2 2
direct
0.000 0.000 0.000
0.151 0.934 0.217
0.367 0.461 0.906
0.556 0.461 0.094
0.717 0.934 0.783
0.802 0.397 0.404
0.993 0.397 0.596
0.386 0.886 0.500
0.187 0.433 0.754
0.679 0.433 0.246
0.771 0.878 0.893
0.985 0.878 0.107
```

# 5
Theoretical X-ray diffraction stick pattern of Cs2ScAuF6 for CuKα, from DFT lattice parameters and positions (PBE).

Largest 12 diffraction maxima, low angle first, 2θ = 15–90°:
Position (°2θ)  I_rel
16.71  15.4
27.45  100.0
32.31  15.2
39.22  32.9
42.90  9.6
48.54  40.7
51.69  4.6
56.67  20.8
59.52  4.4
64.09  19.8
71.08  6.7
77.78  22.4

Crystal structure
```
Cs2ScAuF6
1.0
0.000 4.594 4.594
4.594 0.000 4.594
4.594 4.594 0.000
Cs Sc Au F
2 1 1 6
direct
0.250 0.250 0.250
0.750 0.750 0.750
0.000 0.000 0.000
0.500 0.500 0.500
0.222 0.222 0.778
0.222 0.778 0.222
0.222 0.778 0.778
0.778 0.222 0.222
0.778 0.222 0.778
0.778 0.778 0.222
```

# 6
Theoretical X-ray diffraction stick pattern of Cs2Ga2Au3 for CuKα, from DFT lattice parameters and positions (PBE).

Largest 12 diffraction maxima, low angle first, 2θ = 15–90°:
Position (°2θ)  I_rel
20.17  74.6
26.28  76.9
26.64  49.0
26.77  48.2
29.51  100.0
31.17  55.2
31.32  54.6
31.83  66.8
38.40  67.3
41.59  82.2
46.13  33.9
47.35  35.7

Crystal structure
```
Cs2Ga2Au3
1.0
4.689 0.000 0.000
-0.035 7.252 0.000
-2.318 -2.393 7.366
Cs Ga Au
2 2 3
direct
0.108 0.298 0.223
0.892 0.702 0.777
0.357 0.212 0.712
0.643 0.788 0.288
0.210 0.888 0.421
0.500 0.500 0.000
0.790 0.112 0.579
```

# 7
Theoretical X-ray diffraction stick pattern of CsGa4Au9 for CuKα, from DFT lattice parameters and positions (PBE).

Largest 12 diffraction maxima, low angle first, 2θ = 15–90°:
Position (°2θ)  I_rel
28.47  20.8
29.86  49.4
32.74  95.2
34.14  22.5
39.31  19.0
39.79  34.0
40.16  100.0
41.69  47.0
53.96  18.4
62.87  18.1
71.90  24.5
77.08  17.6

Crystal structure
```
CsGa4Au9
1.0
-4.806 4.806 6.271
4.806 -4.806 6.271
4.806 4.806 -6.271
Cs Ga Au
2 8 18
direct
0.250 0.250 0.000
0.750 0.750 0.000
0.080 0.580 0.888
0.192 0.080 0.500
0.308 0.808 0.888
0.420 0.308 0.500
0.580 0.692 0.500
0.692 0.192 0.112
0.808 0.920 0.500
0.920 0.420 0.112
0.000 0.500 0.500
0.024 0.206 0.230
0.063 0.817 0.500
0.183 0.683 0.246
0.206 0.976 0.182
0.294 0.476 0.770
0.317 0.563 0.500
0.437 0.937 0.754
0.476 0.706 0.182
0.500 0.000 0.500
0.524 0.294 0.818
0.563 0.063 0.246
0.683 0.437 0.500
0.706 0.524 0.230
0.794 0.024 0.818
0.817 0.317 0.754
0.937 0.183 0.500
0.976 0.794 0.770
```

# 8
Theoretical X-ray diffraction stick pattern of CsGaAu2 for CuKα, from DFT lattice parameters and positions (PBE).

Largest 12 diffraction maxima, low angle first, 2θ = 15–90°:
Position (°2θ)  I_rel
25.21  46.5
27.28  93.6
28.99  100.0
32.40  44.4
35.56  33.8
37.49  24.0
38.86  50.5
41.49  55.8
42.85  29.2
43.69  30.9
50.37  47.1
53.37  43.9

Crystal structure
```
CsGaAu2
1.0
3.532 -6.538 0.000
3.532 6.538 0.000
0.000 0.000 5.526
Cs Ga Au
2 2 4
direct
0.000 0.500 0.000
0.500 0.000 0.500
0.000 0.000 0.250
0.000 0.000 0.750
0.288 0.337 0.500
0.337 0.288 0.000
0.663 0.712 0.000
0.712 0.663 0.500
```

# 9
Theoretical X-ray diffraction stick pattern of CsGa2Au4 for CuKα, from DFT lattice parameters and positions (PBE).

Largest 12 diffraction maxima, low angle first, 2θ = 15–90°:
Position (°2θ)  I_rel
21.41  42.3
29.78  27.6
30.79  76.8
31.47  100.0
35.21  52.8
39.48  45.3
42.37  19.1
43.59  72.9
43.70  24.2
53.91  16.7
57.06  24.6
80.30  17.5

Crystal structure
```
CsGa2Au4
1.0
6.455 0.000 0.000
-0.001 6.457 0.000
-3.199 -3.218 8.128
Cs Ga Au
2 4 8
direct
0.125 0.374 0.250
0.875 0.626 0.750
0.000 0.000 0.500
0.500 0.000 0.000
0.500 0.000 0.500
0.500 0.500 0.000
0.140 0.174 0.846
0.292 0.827 0.154
0.327 0.360 0.653
0.328 0.793 0.654
0.672 0.207 0.346
0.673 0.640 0.347
0.708 0.173 0.846
0.860 0.826 0.154
```

# 10
Theoretical X-ray diffraction stick pattern of Cs3Ga4Au2 for CuKα, from DFT lattice parameters and positions (PBE).

Largest 12 diffraction maxima, low angle first, 2θ = 15–90°:
Position (°2θ)  I_rel
21.30  23.3
25.63  48.9
25.96  83.7
26.12  86.0
26.23  32.2
29.49  93.4
29.82  44.9
33.08  33.1
39.25  100.0
41.44  40.1
47.94  33.9
52.83  28.3

Crystal structure
```
Cs3Ga4Au2
1.0
4.589 0.000 0.000
-2.276 6.931 0.000
-2.286 -1.836 9.100
Cs Ga Au
3 4 2
direct
0.000 0.000 0.000
0.257 0.875 0.637
0.743 0.125 0.363
0.337 0.590 0.078
0.475 0.571 0.375
0.525 0.429 0.625
0.663 0.410 0.922
0.095 0.422 0.774
0.905 0.578 0.226
```

# 11
Theoretical X-ray diffraction stick pattern of Cs2GaAu6 for CuKα, from DFT lattice parameters and positions (PBE).

Largest 12 diffraction maxima, low angle first, 2θ = 15–90°:
Position (°2θ)  I_rel
28.20  16.9
28.91  31.0
29.77  100.0
31.77  65.5
38.56  35.5
39.24  24.6
40.82  88.1
46.02  33.3
49.57  41.0
51.77  29.9
60.47  24.4
72.11  31.6

Crystal structure
```
Cs2GaAu6
1.0
7.133 0.000 0.000
-3.566 6.177 0.000
0.000 0.000 6.867
Cs Ga Au
2 1 6
direct
0.333 0.667 0.120
0.667 0.333 0.880
0.000 0.000 0.500
0.205 0.409 0.595
0.205 0.795 0.595
0.409 0.205 0.405
0.591 0.795 0.595
0.795 0.205 0.405
0.795 0.591 0.405
```

# 12
Theoretical X-ray diffraction stick pattern of Cs3Ga2Au5 for CuKα, from DFT lattice parameters and positions (PBE).

Largest 12 diffraction maxima, low angle first, 2θ = 15–90°:
Position (°2θ)  I_rel
16.59  64.8
23.07  45.7
26.45  30.5
27.56  33.4
28.16  30.8
29.97  100.0
32.06  60.4
40.40  28.7
44.56  31.4
45.27  23.2
47.11  32.3
50.40  32.3

Crystal structure
```
Cs3Ga2Au5
1.0
-4.383 10.110 4.067
4.383 -10.110 4.067
4.383 10.110 -4.067
Cs Ga Au
6 4 10
direct
0.152 0.658 0.810
0.250 0.250 0.000
0.348 0.158 0.506
0.652 0.842 0.494
0.750 0.750 0.000
0.848 0.342 0.190
0.160 0.163 0.322
0.340 0.663 0.003
0.660 0.337 0.997
0.840 0.837 0.678
0.058 0.326 0.384
0.063 0.250 0.813
0.250 0.750 0.500
0.437 0.250 0.187
0.442 0.826 0.267
0.558 0.174 0.733
0.563 0.750 0.813
0.750 0.250 0.500
0.937 0.750 0.187
0.942 0.674 0.616
```